CaMg14NiO16: simulated powder XRD pattern (Cu Kα X-rays), based on a cell relaxed with PBE+U.

Main lines, by angle (2θ from 5° to 70°):
| two_theta | d (Å) | I/Imax |
| --- | --- | --- |
| 10.3 | 8.584 | 9.8 |
| 36.2 | 2.483 | 25.0 |
| 41.8 | 2.159 | 51.5 |
| 42.1 | 2.146 | 100.0 |
| 60.9 | 1.522 | 57.3 |
| 61.1 | 1.517 | 28.1 |

Structure:
a b c (Å): 4.3182 8.5779 8.5861
angles (deg): 90.00 90.00 90.00
Atoms (fractional coordinates):
1 Ca 0.0000 0.0000 0.0000
2 Mg 0.0000 0.0000 0.5000
3 Mg 0.0000 0.2538 0.2530
4 Mg 0.0000 0.2538 0.7470
5 Mg 0.0000 0.5000 0.5000
6 Mg 0.0000 0.7462 0.2530
7 Mg 0.0000 0.7462 0.7470
8 Mg 0.5000 0.0000 0.2555
9 Mg 0.5000 0.0000 0.7445
10 Mg 0.5000 0.2509 0.5000
11 Mg 0.5000 0.2568 0.0000
12 Mg 0.5000 0.5000 0.2495
13 Mg 0.5000 0.5000 0.7505
14 Mg 0.5000 0.7432 0.0000
15 Mg 0.5000 0.7491 0.5000
16 Ni 0.0000 0.5000 0.0000
17 O 0.0000 0.0000 0.2634
18 O 0.0000 0.0000 0.7366
19 O 0.0000 0.2528 0.5000
20 O 0.0000 0.2629 0.0000
21 O 0.0000 0.5000 0.2535
22 O 0.0000 0.5000 0.7465
23 O 0.0000 0.7371 0.0000
24 O 0.0000 0.7472 0.5000
25 O 0.5000 0.0000 0.0000
26 O 0.5000 0.0000 0.5000
27 O 0.5000 0.2503 0.2497
28 O 0.5000 0.2503 0.7503
29 O 0.5000 0.5000 0.0000
30 O 0.5000 0.5000 0.5000
31 O 0.5000 0.7497 0.2497
32 O 0.5000 0.7497 0.7503